The following is a theoretical powder X-ray diffraction pattern of KBaCrP2. It was derived from a crystal structure in Alexandria, relaxed with PBE, using copper Kα.
Intensities are scaled so that the largest is 1000.

Largest 8 diffraction maxima, by intensity, 10 to 80 degrees two-theta:
two_theta	I (rel.)
27.79	1000
32.40	644
16.03	604
22.75	509
46.03	455
31.79	340
55.01	278
39.45	242

Structural model:
Cell: 5.527 5.527 5.629 Å, 90.00 90.00 90.00°
Atoms (fractional coordinates):
K  0.000  0.000  0.000
Ba  0.000  0.000  0.500
Cr  0.500  0.500  0.500
P  0.000  0.500  0.000
P  0.500  0.000  0.000

---

The following is a theoretical powder X-ray diffraction pattern of Na17Tl11H. It was derived from a crystal structure in Alexandria, relaxed with PBE, using copper Kα.
Intensities are scaled so that the largest is 1000.

Largest 8 diffraction maxima, by intensity, 10 to 80 degrees two-theta:
two_theta	I (rel.)
18.03	1000
17.54	725
18.40	694
32.72	564
35.98	528
10.34	489
31.71	470
32.47	434

Structural model:
Cell: 10.060 10.060 10.426 Å, 109.04 109.04 106.46°
Atoms (fractional coordinates):
Na  0.000  0.000  0.000
Na  0.006  0.588  0.996
Na  0.015  0.015  0.686
Na  0.292  0.685  0.358
Na  0.309  0.984  0.250
Na  0.342  0.557  0.697
Na  0.346  0.980  0.665
Na  0.400  0.400  0.372
Na  0.431  0.655  0.060
Na  0.557  0.342  0.697
Na  0.588  0.006  0.996
Na  0.655  0.431  0.060
Na  0.685  0.292  0.358
Na  0.702  0.702  0.395
Na  0.726  0.726  0.975
Na  0.980  0.346  0.665
Na  0.984  0.309  0.250
Tl  0.001  0.799  0.305
Tl  0.036  0.620  0.515
Tl  0.169  0.358  0.028
Tl  0.172  0.172  0.472
Tl  0.209  0.795  0.877
Tl  0.358  0.169  0.028
Tl  0.616  0.814  0.684
Tl  0.620  0.036  0.515
Tl  0.795  0.209  0.877
Tl  0.799  0.001  0.305
Tl  0.814  0.616  0.684
H  0.516  0.516  0.888

---

The following is a theoretical powder X-ray diffraction pattern of CsHg2PbAu. It was derived from a crystal structure in Alexandria, relaxed with PBE, using copper Kα.
Intensities are scaled so that the largest is 1000.

Largest 8 diffraction maxima, by intensity, 10 to 80 degrees two-theta:
two_theta	I (rel.)
28.64	1000
37.74	608
34.99	371
36.19	339
51.23	255
27.55	193
27.16	186
13.82	177

Structural model:
Cell: 7.336 7.336 7.336 Å, 140.45 139.08 58.22°
Atoms (fractional coordinates):
Cs  0.000  0.000  0.000
Hg  0.605  0.605  0.000
Hg  0.759  0.259  0.500
Pb  0.257  0.757  0.500
Au  0.378  0.378  0.000